The following is a calculated powder diffraction line list of KNbCrO6. It was derived from the PBE+U geometry in Alexandria, using λ = 1.5418 Å (Cu Kα).
Neutral-atom scattering factors, no anomalous dispersion.

Most intense lines, 2θ = 10–90°, low angle first:
2θ/deg, Rel. int., h k l
14.9, 70, 0 0 1
19.7, 18, 1 0 0
24.7, 100, 1 0 1
34.4, 26, 1 1 0
36.1, 16, 0 1 2
37.7, 22, 2 -1 1
42.8, 15, 0 2 1
46.3, 37, 2 -1 2
50.2, 13, 1 0 3
56.1, 19, 3 -1 1

Cell: 5.213 5.213 5.962 Å, 90.00 90.00 120.00°
Atoms (fractional coordinates):
K 0.000 0.000 0.000
Nb 0.333 0.667 0.562
Cr 0.667 0.333 0.457
O 0.400 0.026 0.690
O 0.404 0.385 0.325
O 0.615 0.020 0.325
O 0.625 0.600 0.690
O 0.974 0.375 0.690
O 0.980 0.596 0.325